This entry pairs a crystal structure of Tm3CoCl3 with its calculated powder XRD pattern. Radiation: CuKα. Structure: DFT lattice parameters and positions (GGA-PBE).
Peak positions follow from Bragg's law for the DFT cell and can differ from measured ones.

Crystal structure
Unit cell a=8.1551 b=3.8753 c=11.2633 alpha=90.00 beta=90.42 gamma=90.00
Atoms (fractional coordinates):
Tm  0.0994  0.2500  0.3272
Tm  0.1490  0.2500  0.8606
Tm  0.2702  0.7500  0.0987
Tm  0.7298  0.2500  0.9013
Tm  0.8510  0.7500  0.1394
Tm  0.9006  0.7500  0.6728
Co  0.0528  0.2500  0.0947
Co  0.9472  0.7500  0.9053
Cl  0.1226  0.2500  0.5976
Cl  0.3289  0.7500  0.3521
Cl  0.4330  0.7500  0.8722
Cl  0.5670  0.2500  0.1278
Cl  0.6711  0.2500  0.6479
Cl  0.8774  0.7500  0.4024

Largest 12 diffraction maxima, sorted by position, 10 to 80 degrees two-theta:
two_theta  intensity
10.85  100.0
13.41  17.4
27.95  32.3
30.10  22.8
31.83  96.4
32.88  30.0
33.75  21.0
35.65  17.5
40.01  17.6
40.54  24.1
45.50  26.4
46.89  20.1



This entry pairs a crystal structure of CoW2Cl10 with its calculated powder XRD pattern. Radiation: CuKα. Structure: DFT lattice parameters and positions (GGA-PBE).
Peak positions follow from Bragg's law for the DFT cell and can differ from measured ones.

Crystal structure
Unit cell a=9.0401 b=9.0401 c=13.1758 alpha=93.43 beta=93.43 gamma=139.84
Atoms (fractional coordinates):
Co  0.0642  0.9358  0.7500
Co  0.9358  0.0642  0.2500
W  0.2724  0.7276  0.7500
W  0.4319  0.5681  0.7500
W  0.5681  0.4319  0.2500
W  0.7276  0.2724  0.2500
Cl  0.0565  0.7300  0.8556
Cl  0.0816  0.6011  0.3502
Cl  0.1081  0.2092  0.6435
Cl  0.2092  0.1081  0.1435
Cl  0.2229  0.5187  0.8754
Cl  0.2700  0.9435  0.6444
Cl  0.3163  0.3894  0.3492
Cl  0.3894  0.3163  0.8492
Cl  0.3989  0.9184  0.1498
Cl  0.4813  0.7771  0.6246
Cl  0.5187  0.2229  0.3754
Cl  0.6011  0.0816  0.8502
Cl  0.6106  0.6837  0.1508
Cl  0.6837  0.6106  0.6508
Cl  0.7300  0.0565  0.3556
Cl  0.7771  0.4813  0.1246
Cl  0.7908  0.8919  0.8565
Cl  0.8919  0.7908  0.3565
Cl  0.9184  0.3989  0.6498
Cl  0.9435  0.2700  0.1444

Largest 12 diffraction maxima, sorted by position, 10 to 80 degrees two-theta:
two_theta  intensity
12.46  22.0
13.65  100.0
15.80  49.3
17.87  36.4
23.62  16.1
29.24  10.4
30.31  13.6
34.56  32.6
35.19  35.3
44.11  10.8
48.51  10.7
51.74  10.5



This entry pairs a crystal structure of YCo3Cl9 with its calculated powder XRD pattern. Radiation: CuKα. Structure: DFT lattice parameters and positions (GGA-PBE).
Peak positions follow from Bragg's law for the DFT cell and can differ from measured ones.

Crystal structure
Unit cell a=9.9110 b=9.9110 c=12.6986 alpha=123.91 beta=123.91 gamma=52.98
Atoms (fractional coordinates):
Y  0.2322  0.7678  0.5000
Y  0.7678  0.2322  0.0000
Co  0.0227  0.2613  0.8298
Co  0.2613  0.0227  0.3298
Co  0.2793  0.4351  0.6674
Co  0.4351  0.2793  0.1674
Co  0.6579  0.8067  0.2150
Co  0.8067  0.6579  0.7150
Cl  0.0793  0.1992  0.2013
Cl  0.1047  0.9196  0.3242
Cl  0.1700  0.4137  0.0264
Cl  0.1992  0.0793  0.7013
Cl  0.3047  0.6602  0.6867
Cl  0.3806  0.4201  0.3640
Cl  0.4137  0.1700  0.5264
Cl  0.4201  0.3806  0.8640
Cl  0.4704  0.7755  0.2375
Cl  0.5097  0.9842  0.0919
Cl  0.5355  0.7703  0.5621
Cl  0.6602  0.3047  0.1867
Cl  0.7703  0.5355  0.0621
Cl  0.7755  0.4704  0.7375
Cl  0.8396  0.8853  0.9127
Cl  0.8853  0.8396  0.4127
Cl  0.9196  0.1047  0.8242
Cl  0.9842  0.5097  0.5919

Largest 12 diffraction maxima, sorted by position, 10 to 80 degrees two-theta:
two_theta  intensity
17.10  100.0
17.85  14.4
19.00  47.8
21.69  14.0
23.43  18.7
27.01  14.1
27.16  24.1
29.48  27.0
32.82  14.0
43.00  13.6
44.25  16.8
47.31  14.1



This entry pairs a crystal structure of ZnCoCl4 with its calculated powder XRD pattern. Radiation: CuKα. Structure: DFT lattice parameters and positions (GGA-PBE).
Peak positions follow from Bragg's law for the DFT cell and can differ from measured ones.

Crystal structure
Unit cell a=6.3540 b=6.3540 c=8.3467 alpha=90.00 beta=90.00 gamma=90.33
Atoms (fractional coordinates):
Zn  0.1678  0.8322  0.7500
Zn  0.8322  0.1678  0.2500
Co  0.3350  0.3350  0.0000
Co  0.6650  0.6650  0.5000
Cl  0.1939  0.2130  0.2302
Cl  0.2130  0.1939  0.7698
Cl  0.2828  0.6884  0.9852
Cl  0.3116  0.7172  0.5148
Cl  0.6884  0.2828  0.0148
Cl  0.7172  0.3116  0.4852
Cl  0.7870  0.8061  0.2698
Cl  0.8061  0.7870  0.7302

Largest 12 diffraction maxima, sorted by position, 10 to 80 degrees two-theta:
two_theta  intensity
17.54  100.0
22.42  13.4
22.53  12.1
25.54  52.7
28.09  61.0
30.10  11.7
33.38  9.3
38.04  9.8
43.36  17.2
48.18  40.6
52.46  16.5
56.56  16.7



This entry pairs a crystal structure of ZnCoCl2 with its calculated powder XRD pattern. Radiation: CuKα. Structure: DFT lattice parameters and positions (GGA-PBE).
Peak positions follow from Bragg's law for the DFT cell and can differ from measured ones.

Crystal structure
Unit cell a=3.6765 b=3.2030 c=7.2893 alpha=90.00 beta=100.67 gamma=90.00
Atoms (fractional coordinates):
Zn  0.0000  0.0000  0.0000
Co  0.5412  0.5000  0.1018
Cl  0.3232  0.5000  0.7933
Cl  0.6304  0.0000  0.3270

Largest 12 diffraction maxima, sorted by position, 10 to 80 degrees two-theta:
two_theta  intensity
12.36  100.0
25.47  5.2
29.69  9.0
37.53  15.8
37.67  12.8
38.10  20.9
41.16  10.1
42.74  13.1
47.49  13.9
48.21  6.3
49.71  7.3
59.11  5.7



This entry pairs a crystal structure of CrCl with its calculated powder XRD pattern. Radiation: CuKα. Structure: DFT lattice parameters and positions (GGA-PBE).
Peak positions follow from Bragg's law for the DFT cell and can differ from measured ones.

Crystal structure
Unit cell a=10.7391 b=3.4649 c=7.0207 alpha=90.00 beta=90.00 gamma=90.00
Atoms (fractional coordinates):
Cr  0.0000  0.0269  0.0000
Cr  0.1247  0.5200  0.8166
Cr  0.3753  0.4800  0.3166
Cr  0.5000  0.9731  0.5000
Cr  0.6247  0.4800  0.3166
Cr  0.8753  0.5200  0.8166
Cl  0.0000  0.5319  0.5512
Cl  0.1750  0.5040  0.1502
Cl  0.3250  0.4960  0.6502
Cl  0.5000  0.4681  0.0512
Cl  0.6750  0.4960  0.6502
Cl  0.8250  0.5040  0.1502

Largest 12 diffraction maxima, sorted by position, 10 to 80 degrees two-theta:
two_theta  intensity
15.08  100.0
25.71  47.3
29.94  20.1
30.42  21.6
36.43  19.3
38.36  57.3
42.38  27.5
42.60  18.2
46.35  22.2
47.65  35.6
51.74  15.5
52.85  13.6



This entry pairs a crystal structure of Cr3Cl5 with its calculated powder XRD pattern. Radiation: CuKα. Structure: DFT lattice parameters and positions (GGA-PBE).
Peak positions follow from Bragg's law for the DFT cell and can differ from measured ones.

Crystal structure
Unit cell a=7.3554 b=8.2551 c=7.5601 alpha=90.00 beta=117.92 gamma=90.00
Atoms (fractional coordinates):
Cr  0.1013  0.2500  0.3737
Cr  0.3630  0.2500  0.8698
Cr  0.3757  0.7500  0.6213
Cr  0.6243  0.2500  0.3787
Cr  0.6370  0.7500  0.1302
Cr  0.8987  0.7500  0.6263
Cl  0.0205  0.7500  0.3714
Cl  0.2548  0.7500  0.9059
Cl  0.2611  0.2500  0.1483
Cl  0.3720  0.0480  0.6250
Cl  0.3720  0.4520  0.6250
Cl  0.6280  0.5480  0.3750
Cl  0.6280  0.9520  0.3750
Cl  0.7389  0.7500  0.8517
Cl  0.7452  0.2500  0.0941
Cl  0.9795  0.2500  0.6286

Largest 12 diffraction maxima, sorted by position, 10 to 80 degrees two-theta:
two_theta  intensity
13.25  30.0
13.86  37.3
21.53  100.0
27.94  22.8
35.95  38.7
36.72  32.5
37.63  24.5
38.36  20.3
42.30  22.3
43.87  27.5
50.88  20.3
60.57  19.1



This entry pairs a crystal structure of CrCl4 with its calculated powder XRD pattern. Radiation: CuKα. Structure: DFT lattice parameters and positions (GGA-PBE).
Peak positions follow from Bragg's law for the DFT cell and can differ from measured ones.

Crystal structure
Unit cell a=7.2308 b=7.2308 c=5.9222 alpha=91.72 beta=91.72 gamma=60.48
Atoms (fractional coordinates):
Cr  0.1423  0.8577  0.7500
Cr  0.8577  0.1423  0.2500
Cl  0.0050  0.7917  0.0682
Cl  0.2083  0.9950  0.4318
Cl  0.2260  0.5478  0.6055
Cl  0.4522  0.7740  0.8945
Cl  0.5478  0.2260  0.1055
Cl  0.7740  0.4522  0.3945
Cl  0.7917  0.0050  0.5682
Cl  0.9950  0.2083  0.9318

Largest 12 diffraction maxima, sorted by position, 10 to 80 degrees two-theta:
two_theta  intensity
14.08  69.6
14.19  100.0
20.42  45.1
20.79  25.4
28.59  18.1
31.98  18.4
32.47  74.2
33.04  39.5
41.30  20.2
41.41  42.4
52.52  27.6
52.77  22.3



This entry pairs a crystal structure of Cr5Cl with its calculated powder XRD pattern. Radiation: CuKα. Structure: DFT lattice parameters and positions (GGA-PBE).
Peak positions follow from Bragg's law for the DFT cell and can differ from measured ones.

Crystal structure
Unit cell a=4.3732 b=6.4231 c=6.4231 alpha=26.04 beta=90.00 gamma=90.00
Atoms (fractional coordinates):
Cr  0.0000  0.0000  0.0000
Cr  0.0000  0.3106  0.3106
Cr  0.0000  0.6417  0.6417
Cr  0.5000  0.0950  0.0950
Cr  0.5000  0.7342  0.7342
Cl  0.5000  0.3933  0.3933

Largest 12 diffraction maxima, sorted by position, 10 to 80 degrees two-theta:
two_theta  intensity
14.15  18.1
37.83  54.5
41.29  52.4
43.31  100.0
48.34  47.6
52.68  10.6
57.23  28.4
64.38  12.0
64.90  4.3
75.91  5.7
76.68  15.1
79.41  12.4



This entry pairs a crystal structure of CrCl3 with its calculated powder XRD pattern. Radiation: CuKα. Structure: DFT lattice parameters and positions (GGA-PBE).
Peak positions follow from Bragg's law for the DFT cell and can differ from measured ones.

Crystal structure
Unit cell a=7.3199 b=7.3199 c=7.3199 alpha=48.90 beta=48.90 gamma=48.90
Atoms (fractional coordinates):
Cr  0.1667  0.1667  0.1667
Cr  0.8333  0.8333  0.8333
Cl  0.0711  0.4308  0.7904
Cl  0.2096  0.9289  0.5692
Cl  0.4308  0.7904  0.0711
Cl  0.5692  0.2096  0.9289
Cl  0.7904  0.0711  0.4308
Cl  0.9289  0.5692  0.2096

Largest 12 diffraction maxima, sorted by position, 10 to 80 degrees two-theta:
two_theta  intensity
13.77  100.0
17.52  32.2
19.26  22.0
25.08  6.5
32.68  91.3
40.93  59.0
52.29  52.7
54.36  12.6
63.05  9.6
65.76  7.1
68.47  9.7
77.10  7.0



This entry pairs a crystal structure of CrCl3 with its calculated powder XRD pattern. Radiation: CuKα. Structure: DFT lattice parameters and positions (GGA-PBE).
Peak positions follow from Bragg's law for the DFT cell and can differ from measured ones.

Crystal structure
Unit cell a=6.0567 b=6.0567 c=20.1426 alpha=90.00 beta=90.00 gamma=120.00
Atoms (fractional coordinates):
Cr  0.1110  0.2219  0.3333
Cr  0.1114  0.5557  0.0000
Cr  0.1110  0.8890  0.6667
Cr  0.4443  0.5557  0.6667
Cr  0.4443  0.8886  0.3333
Cr  0.7781  0.8890  0.0000
Cl  0.0850  0.2224  0.9336
Cl  0.0850  0.8626  0.0664
Cl  0.1374  0.2224  0.7330
Cl  0.1373  0.5552  0.3997
Cl  0.1373  0.5821  0.6003
Cl  0.1374  0.9150  0.2670
Cl  0.4179  0.1955  0.3997
Cl  0.4179  0.2224  0.6003
Cl  0.4179  0.5552  0.2670
Cl  0.4179  0.8627  0.7330
Cl  0.4448  0.5821  0.0663
Cl  0.4448  0.8627  0.9337
Cl  0.7776  0.1955  0.2670
Cl  0.7776  0.5821  0.7330
Cl  0.7776  0.8626  0.6003
Cl  0.7776  0.9150  0.3997
Cl  0.8045  0.2224  0.0664
Cl  0.8045  0.5821  0.9336

Largest 12 diffraction maxima, sorted by position, 10 to 80 degrees two-theta:
two_theta  intensity
13.19  100.0
16.90  9.8
17.47  17.2
19.08  12.1
30.83  34.0
37.14  66.4
43.38  11.8
46.92  11.8
52.33  20.1
54.21  11.3
54.73  20.4
65.90  9.0



This entry pairs a crystal structure of Cr3Cl with its calculated powder XRD pattern. Radiation: CuKα. Structure: DFT lattice parameters and positions (GGA-PBE).
Peak positions follow from Bragg's law for the DFT cell and can differ from measured ones.

Crystal structure
Unit cell a=2.9969 b=2.9969 c=6.8500 alpha=90.00 beta=90.00 gamma=94.46
Atoms (fractional coordinates):
Cr  0.0000  0.0000  0.0000
Cr  0.5000  0.5000  0.2109
Cr  0.5000  0.5000  0.7891
Cl  0.0000  0.0000  0.5000

Largest 12 diffraction maxima, sorted by position, 10 to 80 degrees two-theta:
two_theta  intensity
12.92  23.7
40.05  100.0
41.03  26.5
44.52  20.4
50.29  12.0
53.51  6.3
62.13  13.4
69.57  5.3
72.08  4.7
74.08  13.3
76.49  2.4
78.96  11.0



This entry pairs a crystal structure of Cs3Cr2Cl7 with its calculated powder XRD pattern. Radiation: CuKα. Structure: DFT lattice parameters and positions (GGA-PBE).
Peak positions follow from Bragg's law for the DFT cell and can differ from measured ones.

Crystal structure
Unit cell a=13.7647 b=13.7647 c=5.0673 alpha=90.00 beta=90.00 gamma=158.40
Atoms (fractional coordinates):
Cs  0.0000  0.0000  0.0000
Cs  0.1818  0.8182  0.0000
Cs  0.8182  0.1818  0.0000
Cr  0.4062  0.5938  0.5000
Cr  0.5938  0.4062  0.5000
Cl  0.0930  0.9070  0.5000
Cl  0.3153  0.6847  0.5000
Cl  0.4068  0.5932  0.0000
Cl  0.5000  0.5000  0.5000
Cl  0.5932  0.4068  0.0000
Cl  0.6847  0.3153  0.5000
Cl  0.9070  0.0930  0.5000

Largest 12 diffraction maxima, sorted by position, 10 to 80 degrees two-theta:
two_theta  intensity
23.84  45.9
24.85  49.4
26.47  35.9
29.73  100.0
33.13  23.6
34.79  38.7
35.43  36.9
43.15  19.1
44.23  19.7
44.57  28.7
48.80  14.5
50.50  25.0